Starting from DFT lattice parameters and positions (PBE), the powder diffraction line list of BaBi4I2O4 was calculated for CuKα.

Crystal structure
Unit cell a=4.070 b=4.070 c=34.086 alpha=90.00 beta=90.00 gamma=90.00
Space group I4/mmm (No. 139)
One atom of each set of equivalent atoms:
Ba (0.000, 0.000, 0.000) [2 per cell]
Bi (0.000, 0.000, 0.276) [4 per cell]
Bi (0.000, 0.000, 0.418) [4 per cell]
I (0.000, 0.000, 0.165) [4 per cell]
O (0.000, 0.500, 0.055) [8 per cell]

Peak list (12 most intense, 2θ = 10–90°, by angle)
| d/Å | 2theta | Rel. int. | (hkl) |
| --- | --- | --- | --- |
| 3.494 | 25.49 | 11 | 1 0 5 |
| 3.123 | 28.59 | 100 | 1 0 7 |
| 2.878 | 31.08 | 51 | 1 1 0 |
| 2.839 | 31.51 | 11 | 0 0 12 |
| 2.772 | 32.29 | 18 | 1 0 9 |
| 2.035 | 44.53 | 24 | 2 0 0 |
| 2.021 | 44.84 | 13 | 1 1 12 |
| 1.705 | 53.77 | 37 | 2 1 7 |
| 1.641 | 56.04 | 15 | 1 0 19 |
| 1.307 | 72.31 | 10 | 3 0 7 |
| 1.287 | 73.60 | 9 | 3 1 0 |
| 1.100 | 89.04 | 11 | 3 2 7 |